# Ac3Al2ZnGe6
Simulated PXRD pattern, CuKα. Input: a cell relaxed with PBE.

Top 10 peaks for 15° ≤ 2θ ≤ 90°, by angle:
h k l, 2θ (°), I (rel.)
1 0 1, 19.12, 72.1
0 1 2, 26.09, 80.6
1 1 0, 28.21, 80.9
0 0 3, 30.70, 32.0
0 2 1, 34.30, 100.0
1 1 2, 35.02, 33.9
2 0 2, 38.80, 79.4
1 1 3, 42.17, 27.2
2 2 0, 58.34, 27.8
2 1 4, 61.72, 31.9

Crystal structure
```
data_Ac3Al2ZnGe6
_space_group_name_H-M_alt 'P -3 m 1'
_space_group_IT_number 164
_space_group_name_Hall '-P 3 2"'
_cell_length_a 6.3268
_cell_length_b 6.3268
_cell_length_c 8.7380
_cell_angle_alpha 90.00
_cell_angle_beta 90.00
_cell_angle_gamma 120.00
loop_
_atom_site_label
_atom_site_type_symbol
_atom_site_fract_x
_atom_site_fract_y
_atom_site_fract_z
_atom_site_occupancy
Ac1 Ac 0.0000 0.0000 0.0000 1
Ac2 Ac 0.3333 0.6667 0.6310 1
Al1 Al 0.3333 0.6667 0.0312 1
Zn1 Zn 0.0000 0.0000 0.5000 1
Ge1 Ge 0.1944 0.3887 0.2853 1
```

=====

# AcAl2H6
Simulated PXRD pattern, CuKα. Input: a cell relaxed with PBE.

Top 10 peaks for 15° ≤ 2θ ≤ 90°, by angle:
h k l, 2θ (°), I (rel.)
1 1 1, 20.54, 100.0
2 0 0, 23.76, 32.7
2 2 0, 33.85, 71.0
3 1 1, 39.93, 59.3
4 0 0, 48.63, 13.4
3 3 1, 53.32, 26.7
4 2 0, 54.82, 14.1
4 2 2, 60.57, 26.9
3 3 3, 64.67, 19.6
5 3 1, 75.04, 19.4

Crystal structure
```
data_AcAl2H6
_space_group_name_H-M_alt 'F m -3 m'
_space_group_IT_number 225
_space_group_name_Hall '-F 4 2 3'
_cell_length_a 7.489
_cell_length_b 7.489
_cell_length_c 7.489
_cell_angle_alpha 90.00
_cell_angle_beta 90.00
_cell_angle_gamma 90.00
loop_
_atom_site_label
_atom_site_type_symbol
_atom_site_fract_x
_atom_site_fract_y
_atom_site_fract_z
_atom_site_occupancy
Ac1 Ac 0.000 0.000 0.000 1
Al1 Al 0.250 0.250 0.250 1
H1 H 0.000 0.000 0.321 1
```

=====

# LiAcAlH6
Simulated PXRD pattern, CuKα. Input: a cell relaxed with PBE.

Top 10 peaks for 15° ≤ 2θ ≤ 90°, by angle:
h k l, 2θ (°), I (rel.)
0 0 1, 18.48, 29.9
1 0 0, 22.18, 68.6
1 0 1, 29.02, 100.0
1 1 0, 38.93, 25.6
1 1 1, 43.42, 21.7
1 0 2, 43.97, 25.4
2 0 0, 45.26, 12.2
2 0 1, 49.28, 23.9
1 1 2, 55.13, 19.7
2 1 1, 64.51, 21.6

Crystal structure
```
data_LiAcAlH6
_space_group_name_H-M_alt 'P -6 m 2'
_space_group_IT_number 187
_space_group_name_Hall 'P -6 2'
_cell_length_a 4.6272
_cell_length_b 4.6272
_cell_length_c 4.8011
_cell_angle_alpha 90.00
_cell_angle_beta 90.00
_cell_angle_gamma 120.00
loop_
_atom_site_label
_atom_site_type_symbol
_atom_site_fract_x
_atom_site_fract_y
_atom_site_fract_z
_atom_site_occupancy
Li1 Li 0.0000 0.0000 0.0000 1
Ac1 Ac 0.3333 0.6667 0.5000 1
Al1 Al 0.6667 0.3333 0.0000 1
H1 H 0.3423 0.1712 0.2534 1
```